# Mg6MnCO8
Computed powder X-ray diffraction pattern, copper Kα. Input: the PBE+U geometry in the Materials Project.
Neutral-atom scattering factors, no anomalous dispersion.

Largest 10 diffraction maxima, low angle first, 15 to 90 degrees two-theta:
- hkl 1 0 1, 2θ 23.33, d = 3.813 Å, I = 16
- hkl 1 1 1, 2θ 31.51, d = 2.840 Å, I = 9
- hkl 1 1 2, 2θ 36.45, d = 2.465 Å, I = 20
- hkl 1 0 3, 2θ 37.85, d = 2.377 Å, I = 5
- hkl 0 0 4, 2θ 42.04, d = 2.149 Å, I = 51
- hkl 2 0 0, 2θ 42.49, d = 2.127 Å, I = 100
- hkl 2 0 4, 2θ 61.32, d = 1.512 Å, I = 56
- hkl 2 2 0, 2θ 61.66, d = 1.504 Å, I = 28
- hkl 3 1 2, 2θ 73.80, d = 1.284 Å, I = 8
- hkl 2 2 4, 2θ 77.45, d = 1.232 Å, I = 25

Structural model:
Cell: 4.2546 4.2546 8.5963 Å, 90.00 90.00 90.00°
Fractional positions:
Mg: 0.0000 0.0000 0.0000
Mg: 0.0000 0.0000 0.5000
Mg: 0.0000 0.5000 0.2423
Mg: 0.0000 0.5000 0.7577
Mg: 0.5000 0.0000 0.2423
Mg: 0.5000 0.0000 0.7577
Mn: 0.5000 0.5000 0.5000
C: 0.5000 0.5000 0.0000
O: 0.0000 0.0000 0.2487
O: 0.0000 0.0000 0.7513
O: 0.0000 0.5000 0.0000
O: 0.0000 0.5000 0.5000
O: 0.5000 0.0000 0.0000
O: 0.5000 0.0000 0.5000
O: 0.5000 0.5000 0.2461
O: 0.5000 0.5000 0.7539